[1]
TbCd11In: simulated powder XRD pattern (Cu Kα, 1.54184 Å), based on a structure optimized by DFT (GGA-PBE).

Structural model:
Cell lengths 5.9989, 14.1903, 7.6667 Å; angles 90.00, 112.76, 90.00 degrees
Space group C2/m (No. 12)
Asymmetric unit:
1 Tb 0.0000 0.0000 0.0000
2 Cd 0.0000 0.0000 0.5000
3 Cd 0.1132 0.3944 0.2084
4 Cd 0.1722 0.1772 0.3504
5 Cd 0.2500 0.2500 0.0000
6 In 0.0000 0.5000 0.5000

Main lines, in order of rising 2θ (2θ = 5–70°):
- 2θ 29.8, intensity 22.6, (2 0 -1)
- 2θ 30.6, intensity 63.1, (1 3 -2)
- 2θ 34.8, intensity 50.0, (2 2 0)
- 2θ 34.9, intensity 54.9, (2 2 -2)
- 2θ 35.6, intensity 100.0, (1 5 -1)
- 2θ 35.7, intensity 33.1, (1 1 -3)
- 2θ 35.9, intensity 74.4, (0 4 2)
- 2θ 39.3, intensity 60.5, (2 0 1)
- 2θ 40.2, intensity 27.9, (0 6 1)
- 2θ 56.7, intensity 24.6, (3 5 -2)

---

[2]
PaNiAu: simulated powder XRD pattern (Cu Kα, 1.54184 Å), based on a structure optimized by DFT (GGA-PBE).

Structural model:
Cell lengths 4.5068, 4.5068, 3.2295 Å; angles 90.00, 90.00, 120.00 degrees
Space group P-6m2 (No. 187)
Asymmetric unit:
1 Pa 0.0000 0.0000 0.0000
2 Ni 0.6667 0.3333 0.5000
3 Au 0.3333 0.6667 0.5000

Main lines, in order of rising 2θ (2θ = 5–70°):
- 2θ 22.8, intensity 24.2, (1 0 0)
- 2θ 36.1, intensity 100.0, (1 0 1)
- 2θ 40.0, intensity 64.1, (1 1 0)
- 2θ 46.5, intensity 4.0, (2 0 0)
- 2θ 55.0, intensity 30.5, (2 0 1)
- 2θ 57.0, intensity 7.6, (0 0 2)
- 2θ 62.2, intensity 3.5, (1 0 2)
- 2θ 63.0, intensity 3.4, (2 1 0)

---

[3]
Tb2Pm3DyTe6: simulated powder XRD pattern (Cu Kα, 1.54184 Å), based on a structure optimized by DFT (GGA-PBE).

Structural model:
Cell lengths 19.2909, 4.3833, 8.9015 Å; angles 90.00, 103.94, 90.00 degrees
Space group C2/m (No. 12)
Asymmetric unit:
1 Tb 0.1669 0.0000 0.3335
2 Pm 0.0000 0.5000 0.5000
3 Pm 0.1673 0.0000 0.8330
4 Dy 0.0000 0.5000 0.0000
5 Te 0.0015 0.0000 0.2443
6 Te 0.1642 0.5000 0.0871
7 Te 0.1684 0.5000 0.5786

Main lines, in order of rising 2θ (2θ = 5–70°):
- 2θ 28.6, intensity 100.0, (6 0 0)
- 2θ 40.5, intensity 12.9, (2 0 -4)
- 2θ 40.7, intensity 25.5, (7 1 -2)
- 2θ 41.0, intensity 25.2, (5 1 2)
- 2θ 41.2, intensity 12.5, (0 2 0)
- 2θ 50.1, intensity 6.9, (8 0 -4)
- 2θ 50.6, intensity 6.8, (4 0 4)
- 2θ 50.9, intensity 13.4, (6 2 0)
- 2θ 59.2, intensity 12.7, (12 0 0)
- 2θ 67.3, intensity 11.6, (11 1 2)

---

[4]
LiGd2Cu: simulated powder XRD pattern (Cu Kα, 1.54184 Å), based on a structure optimized by DFT (GGA-PBE).

Structural model:
Cell lengths 5.0198, 5.0198, 3.6546 Å; angles 90.00, 90.00, 90.00 degrees
Space group P4/mmm (No. 123)
Asymmetric unit:
1 Li 0.0000 0.0000 0.0000
2 Gd 0.0000 0.5000 0.5000
3 Cu 0.5000 0.5000 0.0000

Main lines, in order of rising 2θ (2θ = 5–70°):
- 2θ 24.4, intensity 24.1, (0 0 1)
- 2θ 25.1, intensity 44.8, (1 1 0)
- 2θ 35.2, intensity 100.0, (1 1 1)
- 2θ 35.8, intensity 48.0, (2 0 0)
- 2θ 43.8, intensity 20.7, (2 0 1)
- 2θ 51.5, intensity 16.9, (2 2 0)
- 2θ 56.7, intensity 9.8, (1 1 2)
- 2θ 57.7, intensity 9.3, (2 2 1)
- 2θ 62.9, intensity 18.3, (2 0 2)
- 2θ 63.9, intensity 34.8, (3 1 1)

---

[5]
NaGaH8N2F6: simulated powder XRD pattern (Cu Kα, 1.54184 Å), based on a structure optimized by DFT (GGA-PBE).

Structural model:
Cell lengths 8.6165, 8.6165, 8.6165 Å; angles 90.00, 90.00, 90.00 degrees
Space group Fm-3m (No. 225)
Asymmetric unit:
1 Na 0.0000 0.0000 0.0000
2 Ga 0.0000 0.0000 0.5000
3 H 0.1810 0.1810 0.3190
4 N 0.2500 0.2500 0.2500
5 F 0.0000 0.0000 0.2764

Main lines, in order of rising 2θ (2θ = 5–70°):
- 2θ 17.8, intensity 90.8, (1 1 1)
- 2θ 20.6, intensity 100.0, (2 0 0)
- 2θ 29.3, intensity 74.7, (2 2 0)
- 2θ 34.5, intensity 17.7, (3 1 1)
- 2θ 41.9, intensity 78.2, (4 0 0)
- 2θ 47.2, intensity 47.5, (4 2 0)
- 2θ 52.0, intensity 20.6, (4 2 2)
- 2θ 55.4, intensity 20.1, (5 1 1)
- 2θ 60.8, intensity 40.3, (4 4 0)
- 2θ 64.9, intensity 21.2, (6 0 0)

---

[6]
Mg2CdAu5: simulated powder XRD pattern (Cu Kα, 1.54184 Å), based on a structure optimized by DFT (GGA-PBE).

Structural model:
Cell lengths 5.8185, 11.6781, 4.3095 Å; angles 90.00, 90.00, 90.00 degrees
Space group Pbam (No. 55)
Asymmetric unit:
1 Mg 0.2126 0.1346 0.0000
2 Cd 0.0000 0.5000 0.5000
3 Au 0.0000 0.0000 0.5000
4 Au 0.0338 0.7500 0.5000
5 Au 0.2211 0.3817 0.0000

Main lines, in order of rising 2θ (2θ = 5–70°):
- 2θ 20.6, intensity 5.9, (0 0 1)
- 2θ 21.6, intensity 17.6, (1 2 0)
- 2θ 30.0, intensity 16.0, (1 2 1)
- 2θ 37.2, intensity 100.0, (0 4 1)
- 2θ 38.1, intensity 5.7, (2 1 1)
- 2θ 41.9, intensity 19.2, (0 0 2)
- 2θ 43.9, intensity 29.5, (2 4 0)
- 2θ 47.6, intensity 5.6, (1 2 2)
- 2θ 62.3, intensity 20.9, (2 4 2)
- 2θ 63.8, intensity 5.3, (0 8 0)

---

[7]
Nd5Mg4Zn: simulated powder XRD pattern (Cu Kα, 1.54184 Å), based on a structure optimized by DFT (GGA-PBE).

Structural model:
Cell lengths 3.8222, 3.8222, 19.4628 Å; angles 90.00, 90.00, 90.00 degrees
Space group P4/mmm (No. 123)
Asymmetric unit:
1 Nd 0.0000 0.0000 0.0000
2 Nd 0.0000 0.0000 0.2036
3 Nd 0.0000 0.0000 0.4106
4 Mg 0.5000 0.5000 0.1020
5 Mg 0.5000 0.5000 0.3053
6 Zn 0.5000 0.5000 0.5000

Main lines, in order of rising 2θ (2θ = 5–70°):
- 2θ 22.8, intensity 22.7, (0 0 5)
- 2θ 23.3, intensity 46.2, (1 0 0)
- 2θ 32.8, intensity 100.0, (1 0 5)
- 2θ 33.1, intensity 50.9, (1 1 0)
- 2θ 40.6, intensity 20.4, (1 1 5)
- 2θ 47.6, intensity 18.4, (2 0 0)
- 2θ 53.6, intensity 9.8, (2 1 0)
- 2θ 58.4, intensity 16.7, (1 1 10)
- 2θ 59.0, intensity 36.7, (2 1 5)
- 2θ 68.9, intensity 10.1, (2 0 10)

---

[8]
Pu4TeSe2S: simulated powder XRD pattern (Cu Kα, 1.54184 Å), based on a structure optimized by DFT (GGA-PBE).

Structural model:
Cell lengths 7.2503, 4.1860, 7.2650 Å; angles 90.00, 109.47, 90.00 degrees
Space group P2/m (No. 10)
Asymmetric unit:
1 Pu 0.2417 0.0000 0.2300
2 Pu 0.2540 0.5000 0.7676
3 Te 0.5000 0.5000 0.5000
4 Se 0.0000 0.0000 0.5000
5 Se 0.0000 0.5000 0.0000
6 S 0.5000 0.0000 0.0000

Main lines, in order of rising 2θ (2θ = 5–70°):
- 2θ 26.1, intensity 45.2, (2 0 0)
- 2θ 30.2, intensity 100.0, (1 1 1)
- 2θ 32.9, intensity 3.9, (1 1 -2)
- 2θ 43.2, intensity 74.7, (0 2 0)
- 2θ 51.1, intensity 18.0, (4 0 -2)
- 2θ 51.2, intensity 4.0, (2 2 0)
- 2θ 53.6, intensity 19.4, (2 2 -2)
- 2θ 53.6, intensity 6.8, (4 0 0)
- 2θ 62.7, intensity 12.1, (2 2 2)
- 2θ 69.2, intensity 5.8, (1 3 -1)

---

[9]
La2Cd2Au: simulated powder XRD pattern (Cu Kα, 1.54184 Å), based on a structure optimized by DFT (GGA-PBE).

Structural model:
Cell lengths 7.5117, 7.5117, 4.9159 Å; angles 90.00, 90.00, 90.00 degrees
Space group P4/mbm (No. 127)
Asymmetric unit:
1 La 0.1631 0.3369 0.0000
2 Cd 0.1386 0.6386 0.5000
3 Au 0.0000 0.0000 0.5000

Main lines, in order of rising 2θ (2θ = 5–70°):
- 2θ 24.7, intensity 20.7, (1 1 1)
- 2θ 29.9, intensity 33.9, (2 0 1)
- 2θ 32.3, intensity 100.0, (2 1 1)
- 2θ 33.7, intensity 10.6, (2 2 0)
- 2θ 36.6, intensity 30.3, (0 0 2)
- 2θ 37.9, intensity 48.9, (3 1 0)
- 2θ 42.3, intensity 11.3, (3 1 1)
- 2θ 53.7, intensity 45.6, (3 1 2)
- 2θ 63.1, intensity 15.9, (2 1 3)
- 2θ 66.2, intensity 8.2, (5 1 1)

---

[10]
Ti3Pd2Au4: simulated powder XRD pattern (Cu Kα, 1.54184 Å), based on a structure optimized by DFT (GGA-PBE).

Structural model:
Cell lengths 12.9109, 9.7390, 4.8650 Å; angles 90.00, 100.11, 90.00 degrees
Space group C2/c (No. 15)
Asymmetric unit:
1 Ti 0.0000 0.1151 0.2500
2 Ti 0.1657 0.3711 0.0815
3 Pd 0.1107 0.1224 0.8076
4 Au 0.0550 0.3682 0.5262
5 Au 0.2227 0.1222 0.3602

Main lines, in order of rising 2θ (2θ = 5–70°):
- 2θ 22.9, intensity 34.4, (1 1 1)
- 2θ 28.1, intensity 25.3, (2 2 -1)
- 2θ 34.8, intensity 12.4, (3 3 0)
- 2θ 36.9, intensity 54.0, (0 4 0)
- 2θ 38.2, intensity 100.0, (5 1 -1)
- 2θ 41.2, intensity 80.7, (4 2 1)
- 2θ 46.7, intensity 55.8, (1 3 -2)
- 2θ 61.0, intensity 24.6, (5 5 -1)
- 2θ 69.4, intensity 16.5, (4 6 1)
- 2θ 70.0, intensity 16.6, (6 2 -3)

---

[11]
Ca3CePm2Te6: simulated powder XRD pattern (Cu Kα, 1.54184 Å), based on a structure optimized by DFT (GGA-PBE).

Structural model:
Cell lengths 19.7149, 4.4536, 9.0624 Å; angles 90.00, 104.75, 90.00 degrees
Space group C2/m (No. 12)
Asymmetric unit:
1 Ca 0.0000 0.0000 0.0000
2 Ca 0.1668 0.5000 0.3331
3 Ce 0.0000 0.0000 0.5000
4 Pm 0.1680 0.5000 0.8363
5 Te 0.0001 0.5000 0.2458
6 Te 0.1657 0.0000 0.0859
7 Te 0.1681 0.0000 0.5832

Main lines, in order of rising 2θ (2θ = 5–70°):
- 2θ 11.9, intensity 11.1, (2 0 -1)
- 2θ 23.4, intensity 8.8, (1 1 1)
- 2θ 28.1, intensity 100.0, (6 0 0)
- 2θ 39.8, intensity 38.8, (7 1 -2)
- 2θ 40.5, intensity 36.9, (0 2 0)
- 2θ 48.8, intensity 7.1, (8 0 -4)
- 2θ 50.0, intensity 19.9, (6 2 0)
- 2θ 58.1, intensity 12.6, (12 0 0)
- 2θ 65.2, intensity 17.6, (13 1 -2)
- 2θ 66.3, intensity 16.8, (1 3 -2)

---

[12]
K4Tl: simulated powder XRD pattern (Cu Kα, 1.54184 Å), based on a structure optimized by DFT (GGA-PBE).

Structural model:
Cell lengths 6.9347, 6.9347, 6.9347 Å; angles 90.00, 90.00, 90.00 degrees
Space group Pm-3m (No. 221)
Asymmetric unit:
1 K 0.0000 0.0000 0.0000
2 K 0.0000 0.5000 0.5000
3 Tl 0.5000 0.5000 0.5000

Main lines, in order of rising 2θ (2θ = 5–70°):
- 2θ 12.8, intensity 100.0, (1 0 0)
- 2θ 18.1, intensity 92.6, (1 1 0)
- 2θ 25.7, intensity 69.4, (2 0 0)
- 2θ 28.8, intensity 60.9, (2 1 0)
- 2θ 31.6, intensity 48.0, (2 1 1)
- 2θ 36.7, intensity 53.0, (2 2 0)
- 2θ 39.0, intensity 34.4, (3 0 0)
- 2θ 41.2, intensity 23.6, (3 1 0)
- 2θ 49.2, intensity 28.6, (3 2 1)
- 2θ 59.6, intensity 24.1, (4 2 0)

---

[13]
Sm19Dy6Tm4: simulated powder XRD pattern (Cu Kα, 1.54184 Å), based on a structure optimized by DFT (GGA-PBE).

Structural model:
Cell lengths 12.5515, 12.5515, 12.5515 Å; angles 90.00, 90.00, 90.00 degrees
Space group I23 (No. 197)
Asymmetric unit:
1 Sm 0.0000 0.0000 0.0000
2 Sm 0.0000 0.0000 0.2597
3 Sm 0.0629 0.2610 0.2807
4 Dy 0.0000 0.3743 0.5000
5 Tm 0.1795 0.1795 0.8205

Main lines, in order of rising 2θ (2θ = 5–70°):
- 2θ 26.6, intensity 48.2, (3 1 2)
- 2θ 28.4, intensity 52.6, (4 0 0)
- 2θ 30.2, intensity 100.0, (4 1 1)
- 2θ 33.5, intensity 18.1, (3 3 2)
- 2θ 35.0, intensity 39.1, (4 2 2)
- 2θ 36.5, intensity 70.3, (4 1 3)
- 2θ 42.0, intensity 20.4, (4 3 3)
- 2θ 53.7, intensity 24.9, (7 1 2)
- 2θ 59.9, intensity 26.9, (7 1 4)
- 2θ 60.9, intensity 22.4, (8 0 2)